Record 1
The following is a computed powder diffractogram of Zn6Fe. It was derived from the GGA-PBE geometry in Alexandria, using Cu Kα.
Peak positions follow from Bragg's law for the DFT cell and can differ from measured ones.

Principal peaks in the range 2θ = 10–80°, by angle:
hkl  Position (°2θ)  I/Imax
0 0 6  28.1  2
1 0 4  30.8  2
1 0 7  41.3  100
1 1 0  42.7  96
1 1 6  51.9  2
0 2 7  60.9  30
1 0 13  69.0  1
0 1 14  74.4  13
2 1 7  77.2  28
3 0 0  78.1  14

Atomic structure:
Lattice parameters (Å, degrees): 4.2387 4.2387 19.0445 90.00 90.00 120.00
Space group R-3m (No. 166, hexagonal axes)
Asymmetric unit:
1 Zn 0.0000 0.0000 0.0767
2 Zn 0.0000 0.0000 0.2147
3 Zn 0.0000 0.0000 0.3652
4 Fe 0.0000 0.0000 0.5000

Record 2
The following is a computed powder diffractogram of Zn9Fe4. It was derived from the GGA-PBE geometry in Alexandria, using Cu Kα.
Peak positions follow from Bragg's law for the DFT cell and can differ from measured ones.

Principal peaks in the range 2θ = 10–80°, by angle:
hkl  Position (°2θ)  I/Imax
2 0 1  34.8  8
1 5 -1  37.6  4
3 3 0  42.9  100
3 3 -3  43.0  49
3 5 -1  47.8  6
0 6 3  62.3  4
4 0 -6  73.5  5
2 6 3  78.6  7
3 9 0  78.7  9
3 9 -3  78.8  4

Atomic structure:
Lattice parameters (Å, degrees): 8.913 12.642 7.728 90.00 125.04 90.00
Space group Cm (No. 8)
Asymmetric unit:
1 Zn 0.000 0.000 0.000
2 Zn 0.008 0.363 0.347
3 Zn 0.096 0.176 0.271
4 Zn 0.138 0.500 0.214
5 Zn 0.182 0.191 0.993
6 Zn 0.241 0.392 0.986
7 Zn 0.281 0.000 0.990
8 Zn 0.322 0.326 0.727
9 Zn 0.327 0.328 0.361
10 Zn 0.456 0.174 0.635
11 Zn 0.496 0.500 0.344
12 Fe 0.148 0.500 0.647
13 Fe 0.176 0.123 0.662
14 Fe 0.312 0.000 0.411
15 Fe 0.430 0.500 0.626
16 Fe 0.433 0.000 0.789
17 Fe 0.467 0.170 0.991

Record 3
The following is a computed powder diffractogram of ZnFe5. It was derived from the GGA-PBE geometry in Alexandria, using Cu Kα.
Peak positions follow from Bragg's law for the DFT cell and can differ from measured ones.

Principal peaks in the range 2θ = 10–80°, by angle:
hkl  Position (°2θ)  I/Imax
1 1 1  23.3  4
2 2 0  38.5  32
3 1 1  45.5  100
2 2 2  47.6  36
4 0 0  55.6  3
3 3 1  61.0  1
4 2 2  69.6  10
3 3 3  74.5  27

Atomic structure:
Lattice parameters (Å, degrees): 6.616 6.616 6.616 90.00 90.00 90.00
Space group F-43m (No. 216)
Asymmetric unit:
1 Zn 0.000 0.000 0.000
2 Fe 0.125 0.125 0.625
3 Fe 0.250 0.250 0.250

Record 4
The following is a computed powder diffractogram of Zn3Fe. It was derived from the GGA-PBE geometry in Alexandria, using Cu Kα.
Peak positions follow from Bragg's law for the DFT cell and can differ from measured ones.

Principal peaks in the range 2θ = 10–80°, by angle:
hkl  Position (°2θ)  I/Imax
0 0 2  36.8  8
0 2 1  39.0  30
2 0 0  42.8  100
1 2 1  44.7  89
2 0 2  57.7  4
2 2 1  59.3  17
0 2 3  67.8  16
0 4 0  72.0  7
3 0 2  78.4  9
3 2 1  79.8  14

Atomic structure:
Lattice parameters (Å, degrees): 4.222 5.246 4.883 90.00 90.00 90.00
Space group Pmmn (No. 59, origin choice 2)
Asymmetric unit:
1 Zn 0.250 0.001 0.159
2 Zn 0.250 0.750 0.657
3 Fe 0.250 0.250 0.645